Calculated XRD peak list
Compound: Sm2Mn17B2
Radiation: Cu Kα (weighted mean of Kα1 and Kα2)
Structure: a crystal structure in Alexandria, relaxed with GGA-PBE
Intensities are scaled so that the largest is 100.

Crystal structure
```
data_Sm2Mn17B2
_chemical_formula_sum 'Sm4 Mn34 B4'
_space_group_name_H-M_alt 'C 1 2/m 1'
_space_group_IT_number 12
_cell_length_a 9.6727
_cell_length_b 8.6788
_cell_length_c 6.4678
_cell_angle_alpha 90.00
_cell_angle_beta 98.34
_cell_angle_gamma 90.00
loop_
_space_group_symop_operation_xyz
'x,y,z'
'-x,-y,-z'
'-x,y,-z'
'x,-y,z'
'x+1/2,y+1/2,z'
'-x+1/2,-y+1/2,-z'
'-x+1/2,y+1/2,-z'
'x+1/2,-y+1/2,z'
loop_
_atom_site_label
_atom_site_type_symbol
_atom_site_fract_x
_atom_site_fract_y
_atom_site_fract_z
Sm1 Sm 0.1406 0.0000 0.3424
Mn1 Mn 0.0000 0.2276 0.0000
Mn2 Mn 0.0000 0.5000 0.5000
Mn3 Mn 0.0969 0.2652 0.6659
Mn4 Mn 0.1046 0.5000 0.8992
Mn5 Mn 0.1409 0.3652 0.2724
Mn6 Mn 0.1546 0.0000 0.8669
Mn7 Mn 0.2500 0.2500 0.0000
B1 B 0.2500 0.2500 0.5000
```

Largest 12 diffraction maxima, low angle first, 2θ from 10° to 90°:
hkl, two_theta, Rel. int.
2 2 -1, 29.85, 34.2
1 1 -2, 29.96, 20.7
2 0 -2, 31.24, 28.3
2 2 1, 32.35, 28.6
1 3 1, 35.90, 51.9
4 0 0, 37.65, 62.6
0 4 0, 41.62, 36.6
2 2 2, 41.73, 72.8
3 3 0, 42.21, 100.0
0 0 3, 42.37, 22.6
4 2 0, 43.18, 33.0
4 0 -2, 43.84, 49.9